(1)
Structure and simulated XRD peak list of ErAgSe2 (a DFT-relaxed cell (PBE, Alexandria); λ = 1.5418 Å (Cu Kα)).

Peak list (6 most intense, 2θ = 10–80°, low angle first)
27.98 deg, 3.189 Å, I = 100.0
31.61 deg, 2.831 Å, I = 50.5
36.26 deg, 2.477 Å, I = 64.1
37.18 deg, 2.418 Å, I = 97.5
44.99 deg, 2.015 Å, I = 46.2
45.27 deg, 2.003 Å, I = 56.3

Crystal structure
a b c (Å): 4.2424 6.8121 13.7368
angles (deg): 90.00 90.00 90.00
Positions (direct):
Er  0.2189  0.2073  0.3725
Er  0.2811  0.7927  0.8725
Er  0.7189  0.2927  0.6275
Er  0.7811  0.7073  0.1275
Ag  0.0094  0.7073  0.3731
Ag  0.4906  0.2927  0.8731
Ag  0.5094  0.7927  0.6269
Ag  0.9906  0.2073  0.1269
Se  0.2209  0.0874  0.7257
Se  0.2262  0.4884  0.5271
Se  0.2738  0.5116  0.0271
Se  0.2791  0.9126  0.2257
Se  0.7209  0.4126  0.2743
Se  0.7262  0.0116  0.4729
Se  0.7738  0.9884  0.9729
Se  0.7791  0.5874  0.7743

(2)
Structure and simulated XRD peak list of Ti2Ni21B6 (a DFT-relaxed cell (PBE, Alexandria); λ = 1.5418 Å (Cu Kα)).

Peak list (6 most intense, 2θ = 10–80°, low angle first)
38.37 deg, 2.346 Å, I = 18.7
42.20 deg, 2.142 Å, I = 23.2
44.89 deg, 2.019 Å, I = 100.0
49.12 deg, 1.855 Å, I = 17.9
51.53 deg, 1.773 Å, I = 26.4
77.14 deg, 1.236 Å, I = 19.5

Crystal structure
a b c (Å): 7.4190 7.4190 7.4190
angles (deg): 60.00 60.00 60.00
Positions (direct):
Ti  0.2500  0.2500  0.2500
Ti  0.7500  0.7500  0.7500
Ni  0.0000  0.0000  0.0000
Ni  0.0000  0.0000  0.3397
Ni  0.0000  0.0000  0.6603
Ni  0.0000  0.3397  0.0000
Ni  0.0000  0.3397  0.6603
Ni  0.0000  0.6603  0.0000
Ni  0.0000  0.6603  0.3397
Ni  0.1495  0.6168  0.6168
Ni  0.3397  0.0000  0.0000
Ni  0.3397  0.0000  0.6603
Ni  0.3397  0.6603  0.0000
Ni  0.3832  0.3832  0.3832
Ni  0.3832  0.3832  0.8505
Ni  0.3832  0.8505  0.3832
Ni  0.6168  0.1495  0.6168
Ni  0.6168  0.6168  0.1495
Ni  0.6168  0.6168  0.6168
Ni  0.6603  0.0000  0.0000
Ni  0.6603  0.0000  0.3397
Ni  0.6603  0.3397  0.0000
Ni  0.8505  0.3832  0.3832
B  0.2693  0.2693  0.7307
B  0.2693  0.7307  0.2693
B  0.2693  0.7307  0.7307
B  0.7307  0.2693  0.2693
B  0.7307  0.2693  0.7307
B  0.7307  0.7307  0.2693